CuSO4F: computed XRD peak list (Cu Kα), based on a structure optimized by DFT (GGA-PBE).
Lines closer than 0.1° are merged.

Most intense lines, 2θ from 15° to 90°, sorted by position:
Position (°2θ)	Rel. int.
21.60	100.0
26.90	20.9
28.79	58.7
33.30	41.4
35.19	25.6
35.71	19.2
42.98	17.9
47.64	20.8
49.23	13.1
69.26	13.5

```
data_CuSO4F
_symmetry_space_group_name_H-M 'P 1'
_symmetry_Int_Tables_number 1
_cell_length_a 5.129
_cell_length_b 5.382
_cell_length_c 6.419
_cell_angle_alpha 90.00
_cell_angle_beta 96.03
_cell_angle_gamma 90.00
loop_
_symmetry_equiv_pos_as_xyz
'x,y,z'
loop_
_atom_site_label
_atom_site_type_symbol
_atom_site_fract_x
_atom_site_fract_y
_atom_site_fract_z
Cu1 Cu 0.226 0.250 0.451
Cu2 Cu 0.774 0.750 0.549
S1 S 0.316 0.750 0.722
S2 S 0.684 0.250 0.278
O1 O 0.146 0.519 0.684
O2 O 0.146 0.981 0.684
O3 O 0.384 0.250 0.200
O4 O 0.420 0.750 0.483
O5 O 0.580 0.250 0.517
O6 O 0.616 0.750 0.800
O7 O 0.854 0.019 0.316
O8 O 0.854 0.481 0.316
F1 F 0.278 0.750 0.977
F2 F 0.722 0.250 0.023
```